1.
Calculated PXRD pattern
Compound: RuAu3
Radiation: λ = 1.5418 Å (Cu Kα)
Structure: a PBE-relaxed structure
Kinematic intensities with the Lorentz-polarization factor, no thermal factor.

Largest 12 diffraction maxima, most intense first, 5° ≤ 2θ ≤ 70°:
- (1 0 2), d 2.363, 2θ = 38.1°, I = 100
- (1 1 0), d 2.021, 2θ = 44.8°, I = 32
- (1 1 4), d 1.456, 2θ = 63.9°, I = 21
- (0 0 4), d 2.099, 2θ = 43.1°, I = 17
- (2 0 0), d 1.429, 2θ = 65.3°, I = 11
- (1 0 1), d 2.706, 2θ = 33.1°, I = 5
- (0 0 1), d 8.398, 2θ = 10.5°, I = 4
- (0 0 3), d 2.799, 2θ = 32.0°, I = 3
- (1 0 5), d 1.448, 2θ = 64.3°, I = 3
- (1 1 3), d 1.639, 2θ = 56.1°, I = 2
- (0 0 2), d 4.199, 2θ = 21.2°, I = 2
- (1 0 0), d 2.859, 2θ = 31.3°, I = 2

Atomic structure:
a b c (Å): 2.8585 2.8585 8.3978
angles (deg): 90.00 90.00 90.00
Space group P4/mmm (No. 123)
One atom of each set of equivalent atoms:
Ru1 0.0000 0.0000 0.0000 x1
Au1 0.0000 0.0000 0.5000 x1
Au2 0.5000 0.5000 0.2383 x2

2.
Calculated PXRD pattern
Compound: Ru3Au5
Radiation: λ = 1.5418 Å (Cu Kα)
Structure: a PBE-relaxed structure
Kinematic intensities with the Lorentz-polarization factor, no thermal factor.

Largest 12 diffraction maxima, most intense first, 5° ≤ 2θ ≤ 70°:
- (2 1 1), d 2.303, 2θ = 39.1°, I = 100
- (2 1 0), d 2.581, 2θ = 34.8°, I = 49
- (1 1 2), d 2.142, 2θ = 42.2°, I = 49
- (4 0 2), d 1.420, 2θ = 65.8°, I = 38
- (1 0 2), d 2.390, 2θ = 37.6°, I = 26
- (4 1 0), d 1.490, 2θ = 62.3°, I = 19
- (3 0 0), d 2.276, 2θ = 39.6°, I = 18
- (2 2 2), d 1.560, 2θ = 59.2°, I = 16
- (2 2 1), d 1.839, 2θ = 49.6°, I = 10
- (0 0 2), d 2.552, 2θ = 35.2°, I = 9
- (1 1 0), d 3.943, 2θ = 22.6°, I = 7
- (3 1 0), d 1.894, 2θ = 48.0°, I = 6

Atomic structure:
a b c (Å): 7.8852 7.8852 5.1037
angles (deg): 90.00 90.00 120.00
Space group P6_3/mcm (No. 193)
One atom of each set of equivalent atoms:
Ru1 0.0000 0.4162 0.2500 x6
Au1 0.0000 0.2206 0.7500 x6
Au2 0.3333 0.6667 0.0000 x4

3.
Calculated PXRD pattern
Compound: Ru5Au
Radiation: λ = 1.5418 Å (Cu Kα)
Structure: a PBE-relaxed structure
Kinematic intensities with the Lorentz-polarization factor, no thermal factor.

Largest 12 diffraction maxima, most intense first, 5° ≤ 2θ ≤ 70°:
- (1 0 6), d 2.104, 2θ = 43.0°, I = 100
- (0 1 3), d 2.400, 2θ = 37.5°, I = 26
- (2 0 0), d 2.189, 2θ = 41.2°, I = 25
- (2 1 3), d 1.617, 2θ = 56.9°, I = 15
- (0 1 9), d 1.385, 2θ = 67.7°, I = 11
- (0 2 0), d 1.387, 2θ = 67.5°, I = 6
- (1 0 4), d 2.778, 2θ = 32.2°, I = 4
- (0 0 2), d 7.190, 2θ = 12.3°, I = 4
- (1 0 2), d 3.739, 2θ = 23.8°, I = 3
- (1 1 1), d 2.313, 2θ = 38.9°, I = 3
- (1 0 0), d 4.378, 2θ = 20.3°, I = 2
- (0 0 4), d 3.595, 2θ = 24.8°, I = 2

Atomic structure:
a b c (Å): 4.3781 2.7747 14.3807
angles (deg): 90.00 90.00 90.00
Space group Amm2 (No. 38)
One atom of each set of equivalent atoms:
Ru1 0.0000 0.0000 0.0000 x2
Ru2 0.0000 0.0000 0.3247 x2
Ru3 0.0000 0.0000 0.6633 x2
Ru4 0.5000 0.0000 0.2125 x2
Ru5 0.5000 0.0000 0.5589 x2
Au1 0.5000 0.0000 0.8866 x2

4.
Calculated PXRD pattern
Compound: RuAu7
Radiation: λ = 1.5418 Å (Cu Kα)
Structure: a PBE-relaxed structure
Kinematic intensities with the Lorentz-polarization factor, no thermal factor.

Largest 11 diffraction maxima, most intense first, 5° ≤ 2θ ≤ 70°:
- (2 2 2), d 2.385, 2θ = 37.7°, I = 100
- (4 0 0), d 2.066, 2θ = 43.8°, I = 49
- (4 4 0), d 1.461, 2θ = 63.7°, I = 33
- (1 1 1), d 4.770, 2θ = 18.6°, I = 2
- (3 1 1), d 2.491, 2θ = 36.1°, I = 1
- (2 0 0), d 4.131, 2θ = 21.5°, I = 1
- (2 2 0), d 2.921, 2θ = 30.6°, I = 1
- (3 3 1), d 1.895, 2θ = 48.0°, I = 1
- (4 2 0), d 1.847, 2θ = 49.3°, I = 1
- (5 3 1), d 1.397, 2θ = 67.0°, I = 1
- (5 1 1), d 1.590, 2θ = 58.0°, I = 1

Atomic structure:
a b c (Å): 8.2621 8.2621 8.2621
angles (deg): 90.00 90.00 90.00
Space group Fm-3m (No. 225)
One atom of each set of equivalent atoms:
Ru1 0.0000 0.0000 0.0000 x4
Au1 0.0000 0.0000 0.5000 x4
Au2 0.0000 0.2500 0.2500 x24

5.
Calculated PXRD pattern
Compound: Ru3Au2
Radiation: λ = 1.5418 Å (Cu Kα)
Structure: a PBE-relaxed structure
Kinematic intensities with the Lorentz-polarization factor, no thermal factor.

Largest 12 diffraction maxima, most intense first, 5° ≤ 2θ ≤ 70°:
- (0 1 5), d 2.283, 2θ = 39.5°, I = 100
- (1 0 10), d 1.984, 2θ = 45.7°, I = 64
- (0 0 15), d 2.313, 2θ = 38.9°, I = 33
- (1 1 0), d 1.396, 2θ = 67.0°, I = 21
- (0 1 20), d 1.410, 2θ = 66.3°, I = 19
- (0 0 9), d 3.855, 2θ = 23.1°, I = 10
- (0 0 6), d 5.783, 2θ = 15.3°, I = 9
- (1 0 4), d 2.329, 2θ = 38.7°, I = 6
- (1 0 1), d 2.412, 2θ = 37.3°, I = 5
- (0 1 14), d 1.731, 2θ = 52.9°, I = 4
- (0 0 3), d 11.566, 2θ = 7.6°, I = 4
- (1 0 19), d 1.457, 2θ = 63.9°, I = 3

Atomic structure:
a b c (Å): 2.7919 2.7919 34.6986
angles (deg): 90.00 90.00 120.00
Space group R-3m (No. 166, hexagonal axes)
One atom of each set of equivalent atoms:
Ru1 0.0000 0.0000 0.0000 x3
Ru2 0.0000 0.0000 0.1951 x6
Au1 0.0000 0.0000 0.4011 x6

6.
Calculated PXRD pattern
Compound: Ru5Au
Radiation: λ = 1.5418 Å (Cu Kα)
Structure: a PBE-relaxed structure
Kinematic intensities with the Lorentz-polarization factor, no thermal factor.

Largest 12 diffraction maxima, most intense first, 5° ≤ 2θ ≤ 70°:
- (3 1 0), d 2.107, 2θ = 42.9°, I = 100
- (1 1 -2), d 2.099, 2θ = 43.1°, I = 69
- (4 0 -2), d 2.201, 2θ = 41.0°, I = 50
- (1 1 1), d 2.395, 2θ = 37.6°, I = 32
- (0 0 3), d 2.088, 2θ = 43.3°, I = 31
- (3 1 3), d 1.379, 2θ = 68.0°, I = 22
- (2 0 2), d 2.385, 2θ = 37.7°, I = 19
- (6 0 0), d 1.625, 2θ = 56.7°, I = 15
- (0 2 0), d 1.385, 2θ = 67.7°, I = 11
- (3 1 -3), d 1.616, 2θ = 57.0°, I = 9
- (0 0 1), d 6.264, 2θ = 14.1°, I = 6
- (2 0 -4), d 1.609, 2θ = 57.2°, I = 6

Atomic structure:
a b c (Å): 10.0538 2.7691 6.4575
angles (deg): 90.00 104.07 90.00
Space group Cm (No. 8)
One atom of each set of equivalent atoms:
Ru1 0.0000 0.0000 0.0000 x2
Ru2 0.0523 0.0000 0.5929 x2
Ru3 0.1551 0.5000 0.3163 x2
Ru4 0.2115 0.5000 0.9437 x2
Ru5 0.3832 0.0000 0.2622 x2
Au1 0.3284 0.0000 0.6601 x2

7.
Calculated PXRD pattern
Compound: TaRuAu2S
Radiation: λ = 1.5418 Å (Cu Kα)
Structure: a PBE-relaxed structure
Kinematic intensities with the Lorentz-polarization factor, no thermal factor.

Largest 12 diffraction maxima, most intense first, 5° ≤ 2θ ≤ 70°:
- (2 0 0), d 2.584, 2θ = 34.7°, I = 100
- (0 0 1), d 4.573, 2θ = 19.4°, I = 76
- (1 1 1), d 2.855, 2θ = 31.3°, I = 65
- (2 0 2), d 1.712, 2θ = 53.5°, I = 58
- (2 0 1), d 2.250, 2θ = 40.1°, I = 52
- (1 0 1), d 3.425, 2θ = 26.0°, I = 51
- (2 2 0), d 1.827, 2θ = 49.9°, I = 36
- (0 0 2), d 2.286, 2θ = 39.4°, I = 35
- (2 2 2), d 1.427, 2θ = 65.4°, I = 32
- (2 1 1), d 2.063, 2θ = 43.9°, I = 26
- (2 2 1), d 1.697, 2θ = 54.0°, I = 22
- (3 1 1), d 1.539, 2θ = 60.1°, I = 20

Atomic structure:
a b c (Å): 5.1680 5.1680 4.5729
angles (deg): 90.00 90.00 90.00
Space group P4/mmm (No. 123)
One atom of each set of equivalent atoms:
Ta1 0.0000 0.0000 0.0000 x1
Ru1 0.5000 0.5000 0.5000 x1
Au1 0.0000 0.5000 0.0000 x2
S1 0.0000 0.0000 0.5000 x1

8.
Calculated PXRD pattern
Compound: Sc8Ru2Au
Radiation: λ = 1.5418 Å (Cu Kα)
Structure: a PBE-relaxed structure
Kinematic intensities with the Lorentz-polarization factor, no thermal factor.

Largest 12 diffraction maxima, most intense first, 5° ≤ 2θ ≤ 70°:
- (1 3 2), d 2.350, 2θ = 38.3°, I = 100
- (0 3 1), d 3.892, 2θ = 22.8°, I = 61
- (1 0 1), d 3.861, 2θ = 23.0°, I = 49
- (2 0 0), d 2.408, 2θ = 37.4°, I = 46
- (1 3 0), d 3.425, 2θ = 26.0°, I = 40
- (1 6 1), d 2.062, 2θ = 43.9°, I = 36
- (0 6 0), d 2.438, 2θ = 36.9°, I = 24
- (1 4 1), d 2.655, 2θ = 33.8°, I = 24
- (2 3 3), d 1.524, 2θ = 60.8°, I = 22
- (2 3 1), d 2.048, 2θ = 44.2°, I = 22
- (1 1 2), d 2.639, 2θ = 34.0°, I = 21
- (1 0 3), d 1.966, 2θ = 46.2°, I = 20

Atomic structure:
a b c (Å): 4.8151 14.6300 6.4606
angles (deg): 90.00 90.00 90.00
Space group Imm2 (No. 44)
One atom of each set of equivalent atoms:
Sc1 0.0000 0.0000 0.0000 x2
Sc2 0.0000 0.1118 0.5674 x4
Sc3 0.0000 0.2913 0.8842 x4
Sc4 0.0000 0.3379 0.4202 x4
Sc5 0.0000 0.5000 0.7893 x2
Ru1 0.0000 0.1697 0.1881 x4
Au1 0.0000 0.5000 0.2071 x2

What did the second record say?
Calculated PXRD pattern
Compound: Ru3Au5
Radiation: λ = 1.5418 Å (Cu Kα)
Structure: a PBE-relaxed structure
Kinematic intensities with the Lorentz-polarization factor, no thermal factor.

Largest 12 diffraction maxima, most intense first, 5° ≤ 2θ ≤ 70°:
- (2 1 1), d 2.303, 2θ = 39.1°, I = 100
- (2 1 0), d 2.581, 2θ = 34.8°, I = 49
- (1 1 2), d 2.142, 2θ = 42.2°, I = 49
- (4 0 2), d 1.420, 2θ = 65.8°, I = 38
- (1 0 2), d 2.390, 2θ = 37.6°, I = 26
- (4 1 0), d 1.490, 2θ = 62.3°, I = 19
- (3 0 0), d 2.276, 2θ = 39.6°, I = 18
- (2 2 2), d 1.560, 2θ = 59.2°, I = 16
- (2 2 1), d 1.839, 2θ = 49.6°, I = 10
- (0 0 2), d 2.552, 2θ = 35.2°, I = 9
- (1 1 0), d 3.943, 2θ = 22.6°, I = 7
- (3 1 0), d 1.894, 2θ = 48.0°, I = 6

Atomic structure:
a b c (Å): 7.8852 7.8852 5.1037
angles (deg): 90.00 90.00 120.00
Space group P6_3/mcm (No. 193)
One atom of each set of equivalent atoms:
Ru1 0.0000 0.4162 0.2500 x6
Au1 0.0000 0.2206 0.7500 x6
Au2 0.3333 0.6667 0.0000 x4